1.
Structure and computed powder diffractogram of Na12Sr16Li (a crystal structure in Alexandria, relaxed with PBE; Cu Kα, 1.54184 Å).
Peak positions follow from Bragg's law for the DFT cell and can differ from measured ones.

Most intense lines, 2θ = 10–90°, low angle first:
- 5.660 Å, 15.66°, intensity 32
- 3.326 Å, 26.81°, intensity 32
- 3.306 Å, 26.97°, intensity 91
- 3.292 Å, 27.09°, intensity 56
- 3.276 Å, 27.22°, intensity 100
- 3.265 Å, 27.31°, intensity 32
- 1.907 Å, 47.70°, intensity 22
- 1.896 Å, 47.99°, intensity 22

Cell and atoms:
Cell: 11.9896 11.9896 12.1080 Å, 109.26 109.26 108.77°
Atoms (fractional coordinates):
Na: 0.0000 0.0000 0.0000
Na: 0.0004 0.8191 0.1895
Na: 0.2816 0.6518 0.6477
Na: 0.2949 0.4717 0.8351
Na: 0.4587 0.6478 0.4751
Na: 0.4671 0.8337 0.0055
Na: 0.4717 0.2949 0.8351
Na: 0.6478 0.4587 0.4751
Na: 0.6518 0.2816 0.6477
Na: 0.8191 0.0004 0.1895
Na: 0.8283 0.8283 0.6428
Na: 0.8337 0.4671 0.0055
Sr: 0.0122 0.6465 0.8248
Sr: 0.0299 0.3502 0.2123
Sr: 0.2373 0.9878 0.8188
Sr: 0.2547 0.6432 0.1507
Sr: 0.2714 0.2714 0.4764
Sr: 0.3165 0.9361 0.5048
Sr: 0.3330 0.3330 0.1416
Sr: 0.3502 0.0299 0.2123
Sr: 0.6410 0.6410 0.1800
Sr: 0.6432 0.2547 0.1507
Sr: 0.6459 0.6459 0.8247
Sr: 0.6462 0.9637 0.4360
Sr: 0.6465 0.0122 0.8248
Sr: 0.9361 0.3165 0.5048
Sr: 0.9637 0.6462 0.4360
Sr: 0.9878 0.2373 0.8188
Li: 0.0041 0.0041 0.5051

2.
Structure and computed powder diffractogram of LaThGe (a crystal structure in Alexandria, relaxed with PBE; Cu Kα, 1.54184 Å).
Peak positions follow from Bragg's law for the DFT cell and can differ from measured ones.

Most intense lines, 2θ = 10–90°, low angle first:
- 3.969 Å, 22.40°, intensity 40
- 3.299 Å, 27.03°, intensity 45
- 2.835 Å, 31.56°, intensity 100
- 2.396 Å, 37.54°, intensity 74
- 1.830 Å, 49.83°, intensity 28
- 1.758 Å, 52.01°, intensity 14
- 1.646 Å, 55.86°, intensity 17
- 1.454 Å, 64.02°, intensity 27

Cell and atoms:
Cell: 9.4725 9.4725 9.4725 Å, 29.30 29.30 29.30°
Atoms (fractional coordinates):
La: 0.1328 0.1328 0.1328
La: 0.8672 0.8672 0.8672
Th: 0.2927 0.2927 0.2927
Th: 0.7073 0.7073 0.7073
Ge: 0.4163 0.4163 0.4163
Ge: 0.5837 0.5837 0.5837

3.
Structure and computed powder diffractogram of PmTlRh (a crystal structure in Alexandria, relaxed with PBE; Cu Kα, 1.54184 Å).
Peak positions follow from Bragg's law for the DFT cell and can differ from measured ones.

Most intense lines, 2θ = 10–90°, low angle first:
- 2.792 Å, 32.06°, intensity 26
- 2.766 Å, 32.37°, intensity 100
- 2.733 Å, 32.77°, intensity 37
- 2.578 Å, 34.81°, intensity 37
- 2.564 Å, 35.00°, intensity 26
- 2.551 Å, 35.18°, intensity 40
- 2.279 Å, 39.55°, intensity 26
- 1.962 Å, 46.26°, intensity 34

Cell and atoms:
Cell: 13.4269 3.9246 7.9427 Å, 90.00 90.00 90.00°
Atoms (fractional coordinates):
Pm: 0.0468 0.0000 0.2231
Pm: 0.2500 0.0000 0.8449
Pm: 0.4532 0.0000 0.2231
Pm: 0.5468 0.0000 0.7769
Pm: 0.7500 0.0000 0.1551
Pm: 0.9532 0.0000 0.7769
Tl: 0.1165 0.5000 0.5723
Tl: 0.2500 0.5000 0.1890
Tl: 0.3835 0.5000 0.5723
Tl: 0.6165 0.5000 0.4277
Tl: 0.7500 0.5000 0.8110
Tl: 0.8835 0.5000 0.4277
Rh: 0.0962 0.5000 0.9384
Rh: 0.2500 0.0000 0.4444
Rh: 0.4038 0.5000 0.9384
Rh: 0.5962 0.5000 0.0616
Rh: 0.7500 0.0000 0.5556
Rh: 0.9038 0.5000 0.0616